For Ta2SiN, a crystal structure in OQMD, relaxed with PBE gives the simulated powder diffraction line list in this record (CuKα).
Neutral-atom scattering factors, no anomalous dispersion.

Main lines, in order of falling intensity (15 to 90 degrees two-theta):
2θ/deg  I (rel.)
39.55  100
34.16  35
33.43  25
27.49  24
59.76  23
60.74  20

Atomic structure:
Cell: 3.095 3.095 12.978 Å, 90.00 90.00 120.00°
Fractional positions:
Ta (0.333, 0.667, 0.099)
Ta (0.333, 0.667, 0.401)
Ta (0.667, 0.333, 0.599)
Ta (0.667, 0.333, 0.901)
Si (0.333, 0.667, 0.750)
Si (0.667, 0.333, 0.250)
N (0.000, 0.000, 0.000)
N (0.000, 0.000, 0.500)

***

For BaLiFeP2, a crystal structure in OQMD, relaxed with PBE gives the simulated powder diffraction line list in this record (CuKα).
Neutral-atom scattering factors, no anomalous dispersion.

Main lines, in order of falling intensity (15 to 90 degrees two-theta):
2θ/deg  I (rel.)
31.59  100
56.26  54
23.42  53
35.04  47
45.30  27
43.92  15

Atomic structure:
Cell: 4.003 4.003 12.026 Å, 90.00 90.00 90.00°
Fractional positions:
Ba (0.000, 0.000, 0.000)
Ba (0.500, 0.500, 0.500)
Li (0.000, 0.500, 0.750)
Li (0.500, 0.000, 0.250)
Fe (0.000, 0.500, 0.250)
Fe (0.500, 0.000, 0.750)
P (0.000, 0.000, 0.345)
P (0.000, 0.000, 0.655)
P (0.500, 0.500, 0.155)
P (0.500, 0.500, 0.845)

***

For CdSnGe, a crystal structure in OQMD, relaxed with PBE gives the simulated powder diffraction line list in this record (CuKα).
Neutral-atom scattering factors, no anomalous dispersion.

Main lines, in order of falling intensity (15 to 90 degrees two-theta):
2θ/deg  I (rel.)
36.93  100
22.37  40
66.54  35
43.60  21
53.22  17
78.60  11

Atomic structure:
Cell: 6.885 6.885 6.885 Å, 90.00 90.00 90.00°
Fractional positions:
Cd (0.000, 0.000, 0.000)
Cd (0.000, 0.500, 0.500)
Cd (0.500, 0.000, 0.500)
Cd (0.500, 0.500, 0.000)
Sn (0.250, 0.250, 0.250)
Sn (0.250, 0.750, 0.750)
Sn (0.750, 0.250, 0.750)
Sn (0.750, 0.750, 0.250)
Ge (0.000, 0.000, 0.500)
Ge (0.000, 0.500, 0.000)
Ge (0.500, 0.000, 0.000)
Ge (0.500, 0.500, 0.500)

***

For Be3Cd2W2, a crystal structure in OQMD, relaxed with PBE gives the simulated powder diffraction line list in this record (CuKα).
Neutral-atom scattering factors, no anomalous dispersion.

Main lines, in order of falling intensity (15 to 90 degrees two-theta):
2θ/deg  I (rel.)
30.65  100
43.70  43
44.10  41
54.32  20
72.16  17
72.75  15

Atomic structure:
Cell: 7.093 7.093 7.093 Å, 33.96 33.96 33.96°
Fractional positions:
Be (0.000, 0.000, 0.000)
Be (0.251, 0.251, 0.251)
Be (0.503, 0.503, 0.503)
Cd (0.123, 0.123, 0.123)
Cd (0.631, 0.631, 0.631)
W (0.380, 0.380, 0.380)
W (0.873, 0.873, 0.873)

***

For Hf3As, a crystal structure in OQMD, relaxed with PBE gives the simulated powder diffraction line list in this record (CuKα).
Neutral-atom scattering factors, no anomalous dispersion.

Main lines, in order of falling intensity (15 to 90 degrees two-theta):
2θ/deg  I (rel.)
35.21  100
34.04  89
33.94  85
36.89  75
37.79  69
38.00  66

Atomic structure:
Cell: 8.181 8.181 15.378 Å, 90.33 90.33 38.55°
Fractional positions:
Hf (0.001, 0.531, 0.699)
Hf (0.044, 0.122, 0.692)
Hf (0.051, 0.470, 0.095)
Hf (0.121, 0.569, 0.489)
Hf (0.122, 0.044, 0.192)
Hf (0.198, 0.703, 0.983)
Hf (0.297, 0.802, 0.517)
Hf (0.423, 0.461, 0.167)
Hf (0.431, 0.879, 0.011)
Hf (0.461, 0.423, 0.667)
Hf (0.469, 0.999, 0.801)
Hf (0.470, 0.051, 0.595)
Hf (0.530, 0.949, 0.405)
Hf (0.531, 0.001, 0.199)
Hf (0.539, 0.577, 0.333)
Hf (0.569, 0.121, 0.989)
Hf (0.577, 0.539, 0.833)
Hf (0.703, 0.198, 0.483)
Hf (0.802, 0.297, 0.017)
Hf (0.878, 0.956, 0.808)
Hf (0.879, 0.431, 0.511)
Hf (0.949, 0.530, 0.905)
Hf (0.956, 0.878, 0.308)
Hf (0.999, 0.469, 0.301)
As (0.063, 0.106, 0.372)
As (0.106, 0.063, 0.872)
As (0.335, 0.421, 0.833)
As (0.421, 0.335, 0.333)
As (0.579, 0.665, 0.667)
As (0.665, 0.579, 0.167)
As (0.894, 0.937, 0.128)
As (0.937, 0.894, 0.628)

***

For Dy2Fe17, a crystal structure in OQMD, relaxed with PBE gives the simulated powder diffraction line list in this record (CuKα).
Neutral-atom scattering factors, no anomalous dispersion.

Main lines, in order of falling intensity (15 to 90 degrees two-theta):
2θ/deg  I (rel.)
43.34  100
43.08  58
37.08  42
30.44  41
44.09  31
41.27  30

Atomic structure:
Cell: 8.398 8.398 8.215 Å, 90.00 90.00 120.00°
Fractional positions:
Dy (0.000, 0.000, 0.250)
Dy (0.000, 0.000, 0.750)
Dy (0.333, 0.667, 0.250)
Dy (0.667, 0.333, 0.750)
Fe (0.000, 0.500, 0.000)
Fe (0.000, 0.500, 0.500)
Fe (0.038, 0.368, 0.750)
Fe (0.038, 0.671, 0.750)
Fe (0.166, 0.331, 0.015)
Fe (0.166, 0.331, 0.485)
Fe (0.166, 0.834, 0.015)
Fe (0.166, 0.834, 0.485)
Fe (0.329, 0.368, 0.750)
Fe (0.329, 0.962, 0.750)
Fe (0.331, 0.166, 0.515)
Fe (0.331, 0.166, 0.985)
Fe (0.333, 0.667, 0.607)
Fe (0.333, 0.667, 0.893)
Fe (0.368, 0.038, 0.250)
Fe (0.368, 0.329, 0.250)
Fe (0.500, 0.000, 0.000)
Fe (0.500, 0.000, 0.500)
Fe (0.500, 0.500, 0.000)
Fe (0.500, 0.500, 0.500)
Fe (0.632, 0.671, 0.750)
Fe (0.632, 0.962, 0.750)
Fe (0.667, 0.333, 0.107)
Fe (0.667, 0.333, 0.393)
Fe (0.669, 0.834, 0.015)
Fe (0.669, 0.834, 0.485)
Fe (0.671, 0.038, 0.250)
Fe (0.671, 0.632, 0.250)
Fe (0.834, 0.166, 0.515)
Fe (0.834, 0.166, 0.985)
Fe (0.834, 0.669, 0.515)
Fe (0.834, 0.669, 0.985)
Fe (0.962, 0.329, 0.250)
Fe (0.962, 0.632, 0.250)